# Be4GeRh5
Simulated powder XRD pattern, CuKα. Input: a crystal structure in Alexandria, relaxed with PBE.
No peak broadening, texture or thermal motion is included.

Peak list (10 most intense, 2θ from 15° to 90°, sorted by position)
2θ = 31.31°, 2.857 Å, intensity 681; 2θ = 31.63°, 2.829 Å, intensity 316; 2θ = 44.87°, 2.020 Å, intensity 540; 2θ = 45.10°, 2.010 Å, intensity 1000; 2θ = 55.93°, 1.644 Å, intensity 245; 2θ = 65.33°, 1.428 Å, intensity 180; 2θ = 74.23°, 1.278 Å, intensity 108; 2θ = 74.40°, 1.275 Å, intensity 102; 2θ = 82.92°, 1.164 Å, intensity 331; 2θ = 83.42°, 1.159 Å, intensity 142

Cell and atoms:
```
data_Be4GeRh5
_space_group_name_H-M_alt 'P 4/m m m'
_space_group_IT_number 123
_space_group_name_Hall '-P 4 2'
_cell_length_a 2.857
_cell_length_b 2.857
_cell_length_c 14.144
_cell_angle_alpha 90.00
_cell_angle_beta 90.00
_cell_angle_gamma 90.00
loop_
_atom_site_label
_atom_site_fract_x
_atom_site_fract_y
_atom_site_fract_z
Be1 0.000 0.000 0.096
Be2 0.000 0.000 0.281
Ge1 0.000 0.000 0.500
Rh1 0.500 0.500 0.000
Rh2 0.500 0.500 0.194
Rh3 0.500 0.500 0.391
```

---

# Tb2BeGeRh6
Simulated powder XRD pattern, CuKα. Input: a crystal structure in Alexandria, relaxed with PBE.
No peak broadening, texture or thermal motion is included.

Peak list (10 most intense, 2θ from 15° to 90°, sorted by position)
2θ = 28.65°, 3.116 Å, intensity 126; 2θ = 35.28°, 2.544 Å, intensity 1000; 2θ = 40.96°, 2.203 Å, intensity 695; 2θ = 59.22°, 1.560 Å, intensity 76; 2θ = 59.34°, 1.557 Å, intensity 376; 2θ = 70.89°, 1.329 Å, intensity 182; 2θ = 70.98°, 1.328 Å, intensity 181; 2θ = 74.53°, 1.273 Å, intensity 74; 2θ = 74.69°, 1.271 Å, intensity 74; 2θ = 88.82°, 1.102 Å, intensity 72

Cell and atoms:
```
data_Tb2BeGeRh6
_space_group_name_H-M_alt 'I m m m'
_space_group_IT_number 71
_space_group_name_Hall '-I 2 2'
_cell_length_a 6.224
_cell_length_b 6.241
_cell_length_c 8.811
_cell_angle_alpha 90.00
_cell_angle_beta 90.00
_cell_angle_gamma 90.00
loop_
_atom_site_label
_atom_site_fract_x
_atom_site_fract_y
_atom_site_fract_z
Tb1 0.000 0.000 0.250
Be1 0.000 0.500 0.000
Ge1 0.000 0.500 0.500
Rh1 0.000 0.500 0.237
Rh2 0.237 0.263 0.000
```

---

# Tb2Be2GeRh5
Simulated powder XRD pattern, CuKα. Input: a crystal structure in Alexandria, relaxed with PBE.
No peak broadening, texture or thermal motion is included.

Peak list (10 most intense, 2θ from 15° to 90°, sorted by position)
2θ = 33.48°, 2.676 Å, intensity 197; 2θ = 34.75°, 2.581 Å, intensity 687; 2θ = 38.50°, 2.339 Å, intensity 1000; 2θ = 39.68°, 2.272 Å, intensity 209; 2θ = 40.75°, 2.214 Å, intensity 806; 2θ = 41.92°, 2.155 Å, intensity 201; 2θ = 44.01°, 2.058 Å, intensity 233; 2θ = 57.15°, 1.612 Å, intensity 164; 2θ = 68.86°, 1.363 Å, intensity 227; 2θ = 71.05°, 1.327 Å, intensity 237

Cell and atoms:
```
data_Tb2Be2GeRh5
_space_group_name_H-M_alt 'P 4/m b m'
_space_group_IT_number 127
_space_group_name_Hall '-P 4 2ab'
_cell_length_a 9.637
_cell_length_b 9.637
_cell_length_c 3.223
_cell_angle_alpha 90.00
_cell_angle_beta 90.00
_cell_angle_gamma 90.00
loop_
_atom_site_label
_atom_site_fract_x
_atom_site_fract_y
_atom_site_fract_z
Tb1 0.176 0.324 0.000
Be1 0.120 0.620 0.000
Ge1 0.000 0.000 0.000
Rh1 0.000 0.500 0.500
Rh2 0.066 0.790 0.500
```

---

# BeGeS
Simulated powder XRD pattern, CuKα. Input: a crystal structure in Alexandria, relaxed with PBE.
No peak broadening, texture or thermal motion is included.

Peak list (10 most intense, 2θ from 15° to 90°, sorted by position)
2θ = 19.63°, 4.522 Å, intensity 606; 2θ = 28.03°, 3.184 Å, intensity 881; 2θ = 28.61°, 3.120 Å, intensity 935; 2θ = 29.63°, 3.015 Å, intensity 534; 2θ = 32.44°, 2.760 Å, intensity 1000; 2θ = 38.65°, 2.330 Å, intensity 893; 2θ = 46.45°, 1.955 Å, intensity 499; 2θ = 49.23°, 1.851 Å, intensity 919; 2θ = 52.30°, 1.749 Å, intensity 570; 2θ = 58.52°, 1.577 Å, intensity 414

Cell and atoms:
```
data_BeGeS
_space_group_name_H-M_alt 'R 3 m'
_space_group_IT_number 160
_space_group_name_Hall 'R 3 -2"'
_cell_length_a 3.7016
_cell_length_b 3.7016
_cell_length_c 27.1329
_cell_angle_alpha 90.00
_cell_angle_beta 90.00
_cell_angle_gamma 120.00
loop_
_atom_site_label
_atom_site_fract_x
_atom_site_fract_y
_atom_site_fract_z
Be1 0.0000 0.0000 0.0000
Be2 0.0000 0.0000 0.2325
Ge1 0.0000 0.0000 0.1476
Ge2 0.0000 0.0000 0.7785
S1 0.0000 0.0000 0.6902
S2 0.0000 0.0000 0.9233
```

---

# BeGeSbW
Simulated powder XRD pattern, CuKα. Input: a crystal structure in Alexandria, relaxed with PBE.
No peak broadening, texture or thermal motion is included.

Peak list (10 most intense, 2θ from 15° to 90°, sorted by position)
2θ = 20.78°, 4.274 Å, intensity 434; 2θ = 21.40°, 4.152 Å, intensity 1000; 2θ = 27.34°, 3.262 Å, intensity 428; 2θ = 30.76°, 2.907 Å, intensity 897; 2θ = 38.09°, 2.363 Å, intensity 906; 2θ = 38.79°, 2.321 Å, intensity 505; 2θ = 42.29°, 2.137 Å, intensity 404; 2θ = 42.59°, 2.123 Å, intensity 675; 2θ = 43.60°, 2.076 Å, intensity 370; 2θ = 45.56°, 1.991 Å, intensity 310

Cell and atoms:
```
data_BeGeSbW
_space_group_name_H-M_alt 'C 1 m 1'
_space_group_IT_number 8
_space_group_name_Hall 'C -2y'
_cell_length_a 9.212
_cell_length_b 3.581
_cell_length_c 4.979
_cell_angle_alpha 90.00
_cell_angle_beta 120.85
_cell_angle_gamma 90.00
loop_
_atom_site_label
_atom_site_fract_x
_atom_site_fract_y
_atom_site_fract_z
Be1 0.000 0.000 0.000
Ge1 0.212 0.500 0.485
Sb1 0.295 0.000 0.062
W1 0.004 0.000 0.498
```

---

# Sc2Be2Ge3
Simulated powder XRD pattern, CuKα. Input: a crystal structure in Alexandria, relaxed with PBE.
No peak broadening, texture or thermal motion is included.

Peak list (10 most intense, 2θ from 15° to 90°, sorted by position)
2θ = 31.05°, 2.880 Å, intensity 267; 2θ = 32.04°, 2.793 Å, intensity 243; 2θ = 32.90°, 2.722 Å, intensity 729; 2θ = 36.19°, 2.482 Å, intensity 503; 2θ = 37.86°, 2.376 Å, intensity 1000; 2θ = 41.40°, 2.181 Å, intensity 260; 2θ = 46.27°, 1.962 Å, intensity 346; 2θ = 50.97°, 1.792 Å, intensity 257; 2θ = 53.10°, 1.725 Å, intensity 191; 2θ = 80.11°, 1.198 Å, intensity 184

Cell and atoms:
```
data_Sc2Be2Ge3
_space_group_name_H-M_alt 'C m c m'
_space_group_IT_number 63
_space_group_name_Hall '-C 2c 2'
_cell_length_a 3.925
_cell_length_b 18.895
_cell_length_c 6.048
_cell_angle_alpha 90.00
_cell_angle_beta 90.00
_cell_angle_gamma 90.00
loop_
_atom_site_label
_atom_site_fract_x
_atom_site_fract_y
_atom_site_fract_z
Sc1 0.000 0.025 0.250
Sc2 0.000 0.159 0.750
Be1 0.000 0.301 0.554
Ge1 0.000 0.218 0.250
Ge2 0.000 0.424 0.036
```

---

# ThScBe2Ge2
Simulated powder XRD pattern, CuKα. Input: a crystal structure in Alexandria, relaxed with PBE.
No peak broadening, texture or thermal motion is included.

Peak list (10 most intense, 2θ from 15° to 90°, sorted by position)
2θ = 26.33°, 3.385 Å, intensity 290; 2θ = 28.65°, 3.116 Å, intensity 680; 2θ = 34.75°, 2.581 Å, intensity 1000; 2θ = 43.25°, 2.092 Å, intensity 147; 2θ = 46.47°, 1.954 Å, intensity 338; 2θ = 55.51°, 1.656 Å, intensity 114; 2θ = 58.61°, 1.575 Å, intensity 120; 2θ = 59.31°, 1.558 Å, intensity 213; 2θ = 67.03°, 1.396 Å, intensity 196; 2θ = 78.52°, 1.218 Å, intensity 190

Cell and atoms:
```
data_ThScBe2Ge2
_space_group_name_H-M_alt 'P -3 m 1'
_space_group_IT_number 164
_space_group_name_Hall '-P 3 2"'
_cell_length_a 3.9083
_cell_length_b 3.9083
_cell_length_c 7.9814
_cell_angle_alpha 90.00
_cell_angle_beta 90.00
_cell_angle_gamma 120.00
loop_
_atom_site_label
_atom_site_fract_x
_atom_site_fract_y
_atom_site_fract_z
Th1 0.0000 0.0000 0.0000
Sc1 0.0000 0.0000 0.5000
Be1 0.3333 0.6667 0.7309
Ge1 0.3333 0.6667 0.2744
```

---

# Be2GeSe4
Simulated powder XRD pattern, CuKα. Input: a crystal structure in Alexandria, relaxed with PBE.
No peak broadening, texture or thermal motion is included.

Peak list (10 most intense, 2θ from 15° to 90°, sorted by position)
2θ = 17.74°, 5.000 Å, intensity 145; 2θ = 27.31°, 3.266 Å, intensity 1000; 2θ = 32.59°, 2.748 Å, intensity 165; 2θ = 37.78°, 2.381 Å, intensity 92; 2θ = 44.63°, 2.030 Å, intensity 360; 2θ = 46.76°, 1.943 Å, intensity 183; 2θ = 51.19°, 1.785 Å, intensity 115; 2θ = 54.99°, 1.670 Å, intensity 274; 2θ = 56.76°, 1.622 Å, intensity 98; 2θ = 85.29°, 1.138 Å, intensity 161

Cell and atoms:
```
data_Be2GeSe4
_space_group_name_H-M_alt 'I -4 2 m'
_space_group_IT_number 121
_space_group_name_Hall 'I -4 2'
_cell_length_a 5.495
_cell_length_b 5.495
_cell_length_c 12.055
_cell_angle_alpha 90.00
_cell_angle_beta 90.00
_cell_angle_gamma 90.00
loop_
_atom_site_label
_atom_site_fract_x
_atom_site_fract_y
_atom_site_fract_z
Be1 0.000 0.500 0.000
Ge1 0.000 0.000 0.000
Se1 0.248 0.248 0.392
```